No. 1
Na7CeO6: calculated powder X-ray diffraction pattern (Cu Kα X-rays), based on DFT lattice parameters and positions (GGA-PBE).
Peak positions follow from Bragg's law for the DFT cell and can differ from measured ones.

Cell and atoms:
Lattice parameters (Å, degrees): 6.666 6.666 6.666 60.30 60.30 60.30
Fractional positions:
Na 0.000 0.000 0.000
Na 0.058 0.468 0.840
Na 0.296 0.835 0.587
Na 0.468 0.840 0.058
Na 0.587 0.296 0.835
Na 0.835 0.587 0.296
Na 0.840 0.058 0.468
Ce 0.348 0.348 0.348
O 0.001 0.228 0.580
O 0.155 0.707 0.417
O 0.228 0.580 0.001
O 0.417 0.155 0.707
O 0.580 0.001 0.228
O 0.707 0.417 0.155

Principal peaks in the range 10° ≤ 2θ ≤ 90°, sorted by position:
- 16.2 deg, I 100
- 18.8 deg, I 61
- 26.7 deg, I 28
- 31.4 deg, I 88
- 31.5 deg, I 24
- 32.8 deg, I 15
- 41.6 deg, I 20
- 42.7 deg, I 23
- 42.9 deg, I 55
- 47.0 deg, I 39
- 50.1 deg, I 20
- 57.6 deg, I 17

No. 2
NaCeOs2O8: calculated powder X-ray diffraction pattern (Cu Kα X-rays), based on DFT lattice parameters and positions (GGA-PBE).
Peak positions follow from Bragg's law for the DFT cell and can differ from measured ones.

Cell and atoms:
Lattice parameters (Å, degrees): 6.885 6.885 6.885 134.47 134.47 66.35
Fractional positions:
Na 0.000 0.000 0.000
Ce 0.250 0.750 0.500
Os 0.500 0.500 0.000
Os 0.750 0.250 0.500
O 0.266 0.671 0.095
O 0.329 0.424 0.595
O 0.428 0.001 0.076
O 0.576 0.171 0.905
O 0.648 0.572 0.573
O 0.829 0.734 0.405
O 0.925 0.352 0.924
O 0.999 0.075 0.427

Principal peaks in the range 10° ≤ 2θ ≤ 90°, sorted by position:
- 18.3 deg, I 31
- 28.3 deg, I 100
- 28.6 deg, I 12
- 31.0 deg, I 16
- 33.6 deg, I 21
- 38.6 deg, I 9
- 46.4 deg, I 29
- 48.3 deg, I 14
- 53.6 deg, I 17
- 56.9 deg, I 29
- 58.5 deg, I 12
- 75.0 deg, I 20